(1)
The following is a computed powder diffraction line list of Cr11NiS16. It was derived from DFT lattice parameters and positions (GGA-PBE), using λ = 1.5418 Å (Cu Kα).
Lines closer than 0.1° are merged.

The 6 most intense peaks (15 to 90 degrees two-theta), by angle:
2θ = 17.4°, 5.084 Å, I 51
2θ = 34.3°, 2.617 Å, I 100
2θ = 35.3°, 2.542 Å, I 45
2θ = 44.4°, 2.038 Å, I 82
2θ = 45.3°, 2.002 Å, I 82
2θ = 54.4°, 1.685 Å, I 62

Cell and atoms:
```
data_Cr11NiS16
_chemical_formula_sum 'Cr11 Ni1 S16'
_cell_length_a 6.4196
_cell_length_b 6.4196
_cell_length_c 21.0556
_cell_angle_alpha 95.70
_cell_angle_beta 95.70
_cell_angle_gamma 30.73
_space_group_name_H-M_alt 'P 1'
_space_group_IT_number 1
loop_
_space_group_symop_operation_xyz
'x,y,z'
loop_
_atom_site_label
_atom_site_type_symbol
_atom_site_fract_x
_atom_site_fract_y
_atom_site_fract_z
_atom_site_occupancy
Cr1 Cr 0.0000 0.0000 0.0000 1
Cr2 Cr 0.0608 0.0608 0.3295 1
Cr3 Cr 0.1832 0.1832 0.9259 1
Cr4 Cr 0.2488 0.2488 0.2518 1
Cr5 Cr 0.3159 0.3159 0.5707 1
Cr6 Cr 0.4381 0.4381 0.1759 1
Cr7 Cr 0.5619 0.5619 0.8241 1
Cr8 Cr 0.6841 0.6841 0.4293 1
Cr9 Cr 0.7512 0.7512 0.7482 1
Cr10 Cr 0.8168 0.8168 0.0741 1
Cr11 Cr 0.9392 0.9392 0.6705 1
Ni1 Ni 0.5000 0.5000 0.5000 1
S1 S 0.9998 0.9998 0.1135 1
S2 S 0.0002 0.0002 0.8865 1
S3 S 0.1091 0.1091 0.7441 1
S4 S 0.1428 0.1428 0.5044 1
S5 S 0.2438 0.2438 0.3638 1
S6 S 0.2555 0.2555 0.1374 1
S7 S 0.3555 0.3555 0.9960 1
S8 S 0.3929 0.3929 0.7524 1
S9 S 0.4988 0.4988 0.3901 1
S10 S 0.5012 0.5012 0.6099 1
S11 S 0.6071 0.6071 0.2476 1
S12 S 0.6445 0.6445 0.0040 1
S13 S 0.7445 0.7445 0.8626 1
S14 S 0.7562 0.7562 0.6362 1
S15 S 0.8572 0.8572 0.4956 1
S16 S 0.8909 0.8909 0.2559 1
```

(2)
The following is a computed powder diffraction line list of SrMgGe2Pd2. It was derived from DFT lattice parameters and positions (GGA-PBE), using λ = 1.5418 Å (Cu Kα).
Lines closer than 0.1° are merged.

The 6 most intense peaks (15 to 90 degrees two-theta), by angle:
2θ = 26.3°, 3.388 Å, I 60
2θ = 34.0°, 2.638 Å, I 87
2θ = 37.1°, 2.426 Å, I 24
2θ = 40.8°, 2.210 Å, I 100
2θ = 44.2°, 2.049 Å, I 26
2θ = 56.3°, 1.634 Å, I 42

Cell and atoms:
```
data_SrMgGe2Pd2
_chemical_formula_sum 'Sr1 Mg1 Ge2 Pd2'
_cell_length_a 4.4205
_cell_length_b 4.4205
_cell_length_c 7.2788
_cell_angle_alpha 90.00
_cell_angle_beta 90.00
_cell_angle_gamma 120.00
_space_group_name_H-M_alt 'P 1'
_space_group_IT_number 1
loop_
_space_group_symop_operation_xyz
'x,y,z'
loop_
_atom_site_label
_atom_site_type_symbol
_atom_site_fract_x
_atom_site_fract_y
_atom_site_fract_z
_atom_site_occupancy
Sr1 Sr 0.0000 0.0000 0.0000 1
Mg1 Mg 0.0000 0.0000 0.5000 1
Ge1 Ge 0.3333 0.6667 0.2847 1
Ge2 Ge 0.6667 0.3333 0.7153 1
Pd1 Pd 0.3333 0.6667 0.6456 1
Pd2 Pd 0.6667 0.3333 0.3544 1
```

(3)
The following is a computed powder diffraction line list of TlTcI2N. It was derived from DFT lattice parameters and positions (GGA-PBE), using λ = 1.5418 Å (Cu Kα).
Lines closer than 0.1° are merged.

The 6 most intense peaks (15 to 90 degrees two-theta), by angle:
2θ = 28.0°, 3.190 Å, I 65
2θ = 30.8°, 2.906 Å, I 100
2θ = 32.0°, 2.796 Å, I 74
2θ = 42.1°, 2.148 Å, I 44
2θ = 44.1°, 2.055 Å, I 37
2θ = 57.8°, 1.595 Å, I 33

Cell and atoms:
```
data_TlTcI2N
_chemical_formula_sum 'Tl1 Tc1 I2 N1'
_cell_length_a 5.8127
_cell_length_b 5.8127
_cell_length_c 3.8156
_cell_angle_alpha 90.00
_cell_angle_beta 90.00
_cell_angle_gamma 90.00
_space_group_name_H-M_alt 'P 1'
_space_group_IT_number 1
loop_
_space_group_symop_operation_xyz
'x,y,z'
loop_
_atom_site_label
_atom_site_type_symbol
_atom_site_fract_x
_atom_site_fract_y
_atom_site_fract_z
_atom_site_occupancy
Tl1 Tl 0.0000 0.0000 0.0000 1
Tc1 Tc 0.5000 0.5000 0.5000 1
I1 I 0.0000 0.5000 0.5000 1
I2 I 0.5000 0.0000 0.5000 1
N1 N 0.5000 0.5000 0.0000 1
```

(4)
The following is a computed powder diffraction line list of ZnCo5. It was derived from DFT lattice parameters and positions (GGA-PBE), using λ = 1.5418 Å (Cu Kα).
Lines closer than 0.1° are merged.

The 6 most intense peaks (15 to 90 degrees two-theta), by angle:
2θ = 44.0°, 2.058 Å, I 100
2θ = 50.7°, 1.799 Å, I 16
2θ = 50.9°, 1.794 Å, I 16
2θ = 52.2°, 1.753 Å, I 14
2θ = 74.7°, 1.271 Å, I 9
2θ = 75.7°, 1.256 Å, I 9

Cell and atoms:
```
data_ZnCo5
_chemical_formula_sum 'Zn1 Co5'
_cell_length_a 5.5578
_cell_length_b 5.5578
_cell_length_c 3.5985
_cell_angle_alpha 90.00
_cell_angle_beta 90.00
_cell_angle_gamma 142.33
_space_group_name_H-M_alt 'P 1'
_space_group_IT_number 1
loop_
_space_group_symop_operation_xyz
'x,y,z'
loop_
_atom_site_label
_atom_site_type_symbol
_atom_site_fract_x
_atom_site_fract_y
_atom_site_fract_z
_atom_site_occupancy
Zn1 Zn 0.0000 0.0000 0.0000 1
Co1 Co 0.1706 0.8294 0.5000 1
Co2 Co 0.3271 0.6729 0.0000 1
Co3 Co 0.5000 0.5000 0.5000 1
Co4 Co 0.6729 0.3271 0.0000 1
Co5 Co 0.8294 0.1706 0.5000 1
```

(5)
The following is a computed powder diffraction line list of AgHg2Bi2Pd7. It was derived from DFT lattice parameters and positions (GGA-PBE), using λ = 1.5418 Å (Cu Kα).
Lines closer than 0.1° are merged.

The 6 most intense peaks (15 to 90 degrees two-theta), by angle:
2θ = 27.0°, 3.307 Å, I 65
2θ = 32.7°, 2.735 Å, I 61
2θ = 33.2°, 2.696 Å, I 64
2θ = 37.0°, 2.432 Å, I 82
2θ = 38.8°, 2.319 Å, I 100
2θ = 47.0°, 1.934 Å, I 94

Cell and atoms:
```
data_AgHg2Bi2Pd7
_chemical_formula_sum 'Ag1 Hg2 Bi2 Pd7'
_cell_length_a 3.8679
_cell_length_b 3.8679
_cell_length_c 16.1633
_cell_angle_alpha 96.83
_cell_angle_beta 96.83
_cell_angle_gamma 90.00
_space_group_name_H-M_alt 'P 1'
_space_group_IT_number 1
loop_
_space_group_symop_operation_xyz
'x,y,z'
loop_
_atom_site_label
_atom_site_type_symbol
_atom_site_fract_x
_atom_site_fract_y
_atom_site_fract_z
_atom_site_occupancy
Ag1 Ag 0.0000 0.0000 0.0000 1
Hg1 Hg 0.3690 0.3690 0.7393 1
Hg2 Hg 0.6310 0.6310 0.2607 1
Bi1 Bi 0.1909 0.1909 0.3798 1
Bi2 Bi 0.8091 0.8091 0.6202 1
Pd1 Pd 0.0662 0.5659 0.1317 1
Pd2 Pd 0.2751 0.2751 0.5521 1
Pd3 Pd 0.4341 0.9338 0.8683 1
Pd4 Pd 0.5000 0.5000 0.0000 1
Pd5 Pd 0.5659 0.0662 0.1317 1
Pd6 Pd 0.7249 0.7249 0.4479 1
Pd7 Pd 0.9338 0.4341 0.8683 1
```

(6)
The following is a computed powder diffraction line list of Co2PtW. It was derived from DFT lattice parameters and positions (GGA-PBE), using λ = 1.5418 Å (Cu Kα).
Lines closer than 0.1° are merged.

The 6 most intense peaks (15 to 90 degrees two-theta), by angle:
2θ = 24.7°, 3.604 Å, I 24
2θ = 33.3°, 2.692 Å, I 23
2θ = 41.9°, 2.157 Å, I 100
2θ = 47.8°, 1.903 Å, I 34
2θ = 72.2°, 1.309 Å, I 20
2θ = 84.9°, 1.142 Å, I 26

Cell and atoms:
```
data_Co2PtW
_chemical_formula_sum 'Co2 Pt1 W1'
_cell_length_a 4.4982
_cell_length_b 4.4982
_cell_length_c 4.4982
_cell_angle_alpha 129.94
_cell_angle_beta 129.94
_cell_angle_gamma 73.51
_space_group_name_H-M_alt 'P 1'
_space_group_IT_number 1
loop_
_space_group_symop_operation_xyz
'x,y,z'
loop_
_atom_site_label
_atom_site_type_symbol
_atom_site_fract_x
_atom_site_fract_y
_atom_site_fract_z
_atom_site_occupancy
Co1 Co 0.2500 0.7500 0.5000 1
Co2 Co 0.7500 0.2500 0.5000 1
Pt1 Pt 0.0000 0.0000 0.0000 1
W1 W 0.5000 0.5000 0.0000 1
```

(7)
The following is a computed powder diffraction line list of K2HfH6. It was derived from DFT lattice parameters and positions (GGA-PBE), using λ = 1.5418 Å (Cu Kα).
Lines closer than 0.1° are merged.

The 6 most intense peaks (15 to 90 degrees two-theta), by angle:
2θ = 17.8°, 4.984 Å, I 100
2θ = 29.3°, 3.052 Å, I 94
2θ = 34.5°, 2.603 Å, I 58
2θ = 45.8°, 1.980 Å, I 26
2θ = 51.9°, 1.762 Å, I 37
2θ = 55.3°, 1.661 Å, I 20

Cell and atoms:
```
data_K2HfH6
_chemical_formula_sum 'K2 Hf1 H6'
_cell_length_a 6.1042
_cell_length_b 6.1042
_cell_length_c 6.1042
_cell_angle_alpha 60.00
_cell_angle_beta 60.00
_cell_angle_gamma 60.00
_space_group_name_H-M_alt 'P 1'
_space_group_IT_number 1
loop_
_space_group_symop_operation_xyz
'x,y,z'
loop_
_atom_site_label
_atom_site_type_symbol
_atom_site_fract_x
_atom_site_fract_y
_atom_site_fract_z
_atom_site_occupancy
K1 K 0.2500 0.2500 0.2500 1
K2 K 0.7500 0.7500 0.7500 1
Hf1 Hf 0.0000 0.0000 0.0000 1
H1 H 0.2268 0.2268 0.7732 1
H2 H 0.2268 0.7732 0.2268 1
H3 H 0.2268 0.7732 0.7732 1
H4 H 0.7732 0.2268 0.2268 1
H5 H 0.7732 0.2268 0.7732 1
H6 H 0.7732 0.7732 0.2268 1
```

> Number 2 is which compound?

SrMgGe2Pd2